Record 1
Diffraction record for Ce3NiBr3. The XRD peak list is calculated, not measured: it uses a structure optimized by DFT (GGA-PBE) and Cu Kα, 1.54184 Å.
Lines closer than 0.1° are merged.

Structure:
```
28
Lattice="-5.909 5.909 5.909 5.909 -5.909 5.909 5.909 5.909 -5.909" Properties=species:S:1:pos:R:3 pbc="T T T"
Ce 1.659 1.477 -1.296
Ce 7.205 1.659 -1.477
Ce 1.477 -1.296 1.659
Ce 4.613 4.250 -1.477
Ce 4.250 1.477 1.296
Ce -1.296 1.659 1.477
Ce 4.250 -1.477 4.613
Ce 1.477 1.296 4.250
Ce 1.296 4.250 1.477
Ce 1.659 -1.477 7.205
Ce -1.477 7.205 1.659
Ce -1.477 4.613 4.250
Ni 4.432 1.477 -1.477
Ni 1.477 1.477 1.477
Ni 1.477 -1.477 4.432
Ni -1.477 4.432 1.477
Br 7.386 1.375 1.580
Br 7.386 -1.375 4.330
Br 4.330 7.386 -1.375
Br 4.534 1.580 4.432
Br 4.432 4.534 1.580
Br 1.580 7.386 1.375
Br 7.284 4.330 4.432
Br 1.580 4.432 4.534
Br 1.375 1.580 7.386
Br 4.432 7.284 4.330
Br -1.375 4.330 7.386
Br 4.330 4.432 7.284
```

Most intense lines, 10 to 80 degrees two-theta, by angle:
- d 8.357, I = 28
- d 3.159, I = 24
- d 2.955, I = 100
- d 2.520, I = 15
- d 2.089, I = 69
- d 1.706, I = 23
- d 1.321, I = 25
- d 1.206, I = 17

***

Record 2
Diffraction record for CePb2Br3O3. The XRD peak list is calculated, not measured: it uses a structure optimized by DFT (GGA-PBE) and Cu Kα, 1.54184 Å.
Lines closer than 0.1° are merged.

Structure:
```
9
Lattice="7.869 0.000 0.000 -3.935 6.815 0.000 0.000 0.000 3.688" Properties=species:S:1:pos:R:3 pbc="T T T"
Ce 0.000 0.000 0.000
Pb 0.000 4.543 1.844
Pb 3.935 2.272 1.844
Br -1.624 2.812 0.000
Br 3.247 0.000 0.000
Br 2.311 4.003 0.000
O -3.171 5.493 1.844
O 0.763 1.322 1.844
O 6.342 0.000 1.844
```

Most intense lines, 10 to 80 degrees two-theta, by angle:
- d 3.935, I = 100
- d 3.244, I = 38
- d 2.691, I = 61
- d 2.503, I = 75
- d 2.272, I = 44
- d 2.112, I = 43
- d 1.967, I = 23
- d 1.439, I = 23

***

Record 3
Diffraction record for Ce2PrBrO4. The XRD peak list is calculated, not measured: it uses a structure optimized by DFT (GGA-PBE) and Cu Kα, 1.54184 Å.
Lines closer than 0.1° are merged.

Structure:
```
8
Lattice="4.061 0.000 0.000 0.000 4.061 0.000 0.000 0.000 9.229" Properties=species:S:1:pos:R:3 pbc="T T T"
Ce 0.000 0.000 2.136
Ce 0.000 0.000 7.093
Pr 2.031 2.031 4.614
Br 2.031 2.031 0.000
O 0.000 2.031 3.131
O 0.000 2.031 6.098
O 2.031 0.000 3.131
O 2.031 0.000 6.098
```

Most intense lines, 10 to 80 degrees two-theta, by angle:
- d 3.049, I = 100
- d 2.872, I = 33
- d 2.307, I = 9
- d 2.031, I = 20
- d 1.799, I = 23
- d 1.690, I = 35
- d 1.524, I = 10
- d 1.438, I = 8

***

Record 4
Diffraction record for CeThOsBr. The XRD peak list is calculated, not measured: it uses a structure optimized by DFT (GGA-PBE) and Cu Kα, 1.54184 Å.
Lines closer than 0.1° are merged.

Structure:
```
12
Lattice="4.111 0.000 0.000 -2.056 3.561 0.000 0.000 0.000 23.801" Properties=species:S:1:pos:R:3 pbc="T T T"
Ce 0.000 0.000 0.000
Ce 0.000 2.374 15.868
Ce 2.056 1.187 7.934
Th 0.000 0.000 18.845
Th 0.000 2.374 10.912
Th 2.056 1.187 2.978
Os 0.000 0.000 9.411
Os 0.000 2.374 1.477
Os 2.056 1.187 17.345
Br 0.000 0.000 13.526
Br 0.000 2.374 5.592
Br 2.056 1.187 21.460
```

Most intense lines, 10 to 80 degrees two-theta, by angle:
- d 7.934, I = 62
- d 3.411, I = 24
- d 2.851, I = 100
- d 2.283, I = 16
- d 2.056, I = 43
- d 1.979, I = 28
- d 1.667, I = 21
- d 1.295, I = 18

***

Record 5
Diffraction record for Ce6P5Br. The XRD peak list is calculated, not measured: it uses a structure optimized by DFT (GGA-PBE) and Cu Kα, 1.54184 Å.
Lines closer than 0.1° are merged.

Structure:
```
12
Lattice="3.570 -6.180 0.000 3.570 6.180 0.000 -2.381 0.000 6.722" Properties=species:S:1:pos:R:3 pbc="T T T"
Ce -0.048 2.142 4.985
Ce 1.097 0.000 1.728
Ce -0.048 -2.142 4.985
Ce 4.808 2.142 1.737
Ce 3.662 0.000 4.994
Ce 4.808 -2.142 1.737
P -1.191 0.000 3.361
P 3.570 4.115 0.000
P 2.380 2.007 3.361
P 2.380 -2.007 3.361
P 3.570 -4.115 0.000
Br 3.570 0.000 0.000
```

Most intense lines, 10 to 80 degrees two-theta, by angle:
- d 3.364, I = 59
- d 2.913, I = 100
- d 2.060, I = 72
- d 1.757, I = 28
- d 1.682, I = 25
- d 1.457, I = 11
- d 1.336, I = 5
- d 1.303, I = 31

***

Record 6
Diffraction record for Ce2PBr2. The XRD peak list is calculated, not measured: it uses a structure optimized by DFT (GGA-PBE) and Cu Kα, 1.54184 Å.
Lines closer than 0.1° are merged.

Structure:
```
15
Lattice="4.128 0.000 0.000 -2.064 3.575 0.000 0.000 0.000 31.506" Properties=species:S:1:pos:R:3 pbc="T T T"
Ce 0.000 0.000 3.671
Ce 0.000 0.000 27.835
Ce 0.000 2.383 17.333
Ce 0.000 2.383 24.675
Ce 2.064 1.192 6.831
Ce 2.064 1.192 14.173
P 0.000 0.000 15.753
P 0.000 2.383 5.251
P 2.064 1.192 26.255
Br 0.000 0.000 8.706
Br 0.000 0.000 22.801
Br 0.000 2.383 12.298
Br 0.000 2.383 29.710
Br 2.064 1.192 1.796
Br 2.064 1.192 19.208
```

Most intense lines, 10 to 80 degrees two-theta, by angle:
- d 3.552, I = 20
- d 3.109, I = 100
- d 2.799, I = 26
- d 2.647, I = 44
- d 2.064, I = 45
- d 2.006, I = 36
- d 1.720, I = 17
- d 1.335, I = 17

***

Repeat the fourth record exactly.
Diffraction record for CeThOsBr. The XRD peak list is calculated, not measured: it uses a structure optimized by DFT (GGA-PBE) and Cu Kα, 1.54184 Å.
Lines closer than 0.1° are merged.

Structure:
```
12
Lattice="4.111 0.000 0.000 -2.056 3.561 0.000 0.000 0.000 23.801" Properties=species:S:1:pos:R:3 pbc="T T T"
Ce 0.000 0.000 0.000
Ce 0.000 2.374 15.868
Ce 2.056 1.187 7.934
Th 0.000 0.000 18.845
Th 0.000 2.374 10.912
Th 2.056 1.187 2.978
Os 0.000 0.000 9.411
Os 0.000 2.374 1.477
Os 2.056 1.187 17.345
Br 0.000 0.000 13.526
Br 0.000 2.374 5.592
Br 2.056 1.187 21.460
```

Most intense lines, 10 to 80 degrees two-theta, by angle:
- d 7.934, I = 62
- d 3.411, I = 24
- d 2.851, I = 100
- d 2.283, I = 16
- d 2.056, I = 43
- d 1.979, I = 28
- d 1.667, I = 21
- d 1.295, I = 18

***

> Which formula does entry 4 have?

CeThOsBr